# 1
Structure and simulated X-ray powder pattern of Na4TlSn5 (a structure optimized by DFT (PBE); Cu Ka).
Lines closer than 0.1° are merged.

Peak list (10 most intense, 15 to 90 degrees two-theta, sorted by position)
2θ/deg	d (Å)	I (rel.)	index
16.9	5.247	13	0 0 5
31.1	2.877	10	1 0 4
32.8	2.732	100	1 0 5
34.2	2.623	19	0 0 10
39.8	2.263	31	1 1 0
53.5	1.714	22	1 1 10
57.6	1.600	11	2 0 0
60.3	1.535	12	1 0 15
67.9	1.381	26	2 1 5
68.7	1.366	10	2 0 10

Cell and atoms:
```
data_Na4TlSn5
_space_group_name_H-M_alt 'P 4/m m m'
_space_group_IT_number 123
_space_group_name_Hall '-P 4 2'
_cell_length_a 3.201
_cell_length_b 3.201
_cell_length_c 26.234
_cell_angle_alpha 90.00
_cell_angle_beta 90.00
_cell_angle_gamma 90.00
loop_
_atom_site_label
_atom_site_fract_x
_atom_site_fract_y
_atom_site_fract_z
Na1 0.000 0.000 0.097
Na2 0.000 0.000 0.290
Tl1 0.000 0.000 0.500
Sn1 0.500 0.500 0.000
Sn2 0.500 0.500 0.194
Sn3 0.500 0.500 0.389
```

***

# 2
Structure and simulated X-ray powder pattern of RbCuSe4 (a structure optimized by DFT (PBE); Cu Ka).
Lines closer than 0.1° are merged.

Peak list (10 most intense, 15 to 90 degrees two-theta, sorted by position)
2θ/deg	d (Å)	I (rel.)	index
16.1	5.498	72	0 1 2
25.7	3.465	67	0 0 4
26.2	3.401	64	1 2 1
27.6	3.233	94	0 1 4
28.5	3.130	78	1 2 2
30.4	2.942	96	1 0 4
32.0	2.795	100	1 2 3
34.3	2.614	73	2 1 1
39.0	2.307	46	2 1 3
52.0	1.760	46	3 1 2

Cell and atoms:
```
data_RbCuSe4
_space_group_name_H-M_alt 'P 21 21 21'
_space_group_IT_number 19
_cell_length_a 5.572
_cell_length_b 9.032
_cell_length_c 13.860
_cell_angle_alpha 90.00
_cell_angle_beta 90.00
_cell_angle_gamma 90.00
loop_
_space_group_symop_operation_xyz
'x,y,z'
'-x+1/2,-y,z+1/2'
'x+1/2,-y+1/2,-z'
'-x,y+1/2,-z+1/2'
loop_
_atom_site_label
_atom_site_fract_x
_atom_site_fract_y
_atom_site_fract_z
Rb1 0.188 0.059 0.334
Cu1 0.030 0.136 0.064
Se1 0.079 0.589 0.935
Se2 0.138 0.698 0.595
Se3 0.157 0.883 0.096
Se4 0.158 0.367 0.839
```

***

# 3
Structure and simulated X-ray powder pattern of La3PmNd7 (a structure optimized by DFT (PBE); Cu Ka).
Lines closer than 0.1° are merged.

Peak list (10 most intense, 15 to 90 degrees two-theta, sorted by position)
2θ/deg	d (Å)	I (rel.)	index
24.3	3.660	10	0 1 3
29.6	3.022	40	2 0 0
30.9	2.896	16	0 0 4
31.1	2.877	17	0 4 0
31.6	2.829	100	1 2 3
38.7	2.328	11	2 1 3
43.3	2.091	13	2 0 4
43.4	2.083	13	2 4 0
53.8	1.705	22	3 2 3
60.2	1.538	10	1 2 7

Cell and atoms:
```
data_La3PmNd7
_space_group_name_H-M_alt 'I m m m'
_space_group_IT_number 71
_space_group_name_Hall '-I 2 2'
_cell_length_a 6.043
_cell_length_b 11.506
_cell_length_c 11.583
_cell_angle_alpha 90.00
_cell_angle_beta 90.00
_cell_angle_gamma 90.00
loop_
_atom_site_label
_atom_site_fract_x
_atom_site_fract_y
_atom_site_fract_z
La1 0.000 0.000 0.000
La2 0.000 0.289 0.500
Pm1 0.000 0.500 0.000
Nd1 0.000 0.000 0.500
Nd2 0.000 0.202 0.201
Nd3 0.000 0.500 0.292
```

***

# 4
Structure and simulated X-ray powder pattern of Ho4ThSc3 (a structure optimized by DFT (PBE); Cu Ka).
Lines closer than 0.1° are merged.

Peak list (10 most intense, 15 to 90 degrees two-theta, sorted by position)
2θ/deg	d (Å)	I (rel.)	index
15.9	5.585	17	0 1 1
18.3	4.847	17	0 2 0
22.5	3.949	16	0 2 1
31.9	2.806	100	2 2 0
32.1	2.791	98	0 2 2
37.1	2.424	99	0 4 0
53.5	1.713	46	2 4 2
63.5	1.466	27	4 2 2
63.8	1.460	40	2 6 0
63.8	1.459	13	0 6 2

Cell and atoms:
```
data_Ho4ThSc3
_space_group_name_H-M_alt 'P m m n'
_space_group_IT_number 59
_cell_length_a 6.889
_cell_length_b 9.678
_cell_length_c 6.833
_cell_angle_alpha 90.00
_cell_angle_beta 90.00
_cell_angle_gamma 90.00
loop_
_space_group_symop_operation_xyz
'x,y,z'
'-x,-y,-z'
'-x+1/2,-y+1/2,z'
'x+1/2,y+1/2,-z'
'x+1/2,-y,-z'
'-x+1/2,y,z'
'-x,y+1/2,-z'
'x,-y+1/2,z'
loop_
_atom_site_label
_atom_site_fract_x
_atom_site_fract_y
_atom_site_fract_z
Ho1 0.000 0.000 0.000
Ho2 0.250 0.250 0.254
Ho3 0.250 0.250 0.743
Th1 0.250 0.750 0.261
Sc1 0.000 0.000 0.500
Sc2 0.250 0.750 0.749
```

***

Question: What is the formula in the second record?
Answer: RbCuSe4